[1]
The following is a simulated X-ray powder pattern of ZrNi12. It was derived from a structure optimized by DFT (PBE), using copper Kα.
Kinematic intensities with the Lorentz-polarization factor, no thermal factor.

Structural model:
```
data_ZrNi12
_cell_length_a 8.1131
_cell_length_b 8.1131
_cell_length_c 4.6731
_cell_angle_alpha 90.00
_cell_angle_beta 90.00
_cell_angle_gamma 90.00
_space_group_name_H-M_alt 'I 4/m m m'
_space_group_IT_number 139
_space_group_name_Hall '-I 4 2'
loop_
_atom_site_label
_atom_site_type_symbol
_atom_site_fract_x
_atom_site_fract_y
_atom_site_fract_z
_atom_site_occupancy
Zr1 Zr 0.0000 0.0000 0.0000 1
Ni1 Ni 0.0000 0.2165 0.5000 1
Ni2 Ni 0.0000 0.3514 0.0000 1
Ni3 Ni 0.2500 0.2500 0.2500 1
```

The 8 most intense peaks (2θ = 15–90°), sorted by position:
- 2.866 Å, 31.21 deg, rel. 4.3, hkl 2 1 1
- 2.340 Å, 38.48 deg, rel. 27.5, hkl 0 0 2
- 2.027 Å, 44.71 deg, rel. 100.0, hkl 4 0 0
- 1.813 Å, 50.34 deg, rel. 45.1, hkl 2 2 2
- 1.434 Å, 65.07 deg, rel. 5.5, hkl 4 4 0
- 1.281 Å, 74.02 deg, rel. 8.5, hkl 3 2 3
- 1.171 Å, 82.38 deg, rel. 18.6, hkl 6 0 2
- 1.168 Å, 82.58 deg, rel. 4.2, hkl 0 0 4

***

[2]
The following is a simulated X-ray powder pattern of Sm3YSc7. It was derived from a structure optimized by DFT (PBE), using copper Kα.
Kinematic intensities with the Lorentz-polarization factor, no thermal factor.

Structural model:
```
data_Sm3YSc7
_cell_length_a 5.4941
_cell_length_b 10.4786
_cell_length_c 10.8032
_cell_angle_alpha 90.00
_cell_angle_beta 90.00
_cell_angle_gamma 90.00
_space_group_name_H-M_alt 'I m m m'
_space_group_IT_number 71
_space_group_name_Hall '-I 2 2'
loop_
_atom_site_label
_atom_site_type_symbol
_atom_site_fract_x
_atom_site_fract_y
_atom_site_fract_z
_atom_site_occupancy
Sm1 Sm 0.0000 0.0000 0.0000 1
Sm2 Sm 0.0000 0.2851 0.5000 1
Y1 Y 0.0000 0.5000 0.0000 1
Sc1 Sc 0.0000 0.0000 0.5000 1
Sc2 Sc 0.0000 0.1887 0.2200 1
Sc3 Sc 0.0000 0.5000 0.2932 1
```

The 8 most intense peaks (2θ = 15–90°), sorted by position:
- 5.402 Å, 16.41 deg, rel. 42.1, hkl 0 0 2
- 3.578 Å, 24.89 deg, rel. 100.0, hkl 1 2 1
- 2.747 Å, 32.60 deg, rel. 52.8, hkl 2 0 0
- 2.701 Å, 33.17 deg, rel. 39.6, hkl 0 0 4
- 2.611 Å, 34.34 deg, rel. 90.4, hkl 1 2 3
- 2.587 Å, 34.67 deg, rel. 68.7, hkl 1 3 2
- 1.926 Å, 47.19 deg, rel. 28.7, hkl 2 0 4
- 1.553 Å, 59.54 deg, rel. 26.3, hkl 2 4 4

***

[3]
The following is a simulated X-ray powder pattern of PaSi3Pd. It was derived from a structure optimized by DFT (PBE), using copper Kα.
Kinematic intensities with the Lorentz-polarization factor, no thermal factor.

Structural model:
```
data_PaSi3Pd
_cell_length_a 4.1056
_cell_length_b 8.0432
_cell_length_c 6.2400
_cell_angle_alpha 90.00
_cell_angle_beta 108.68
_cell_angle_gamma 90.00
_space_group_name_H-M_alt 'P 1 21/m 1'
_space_group_IT_number 11
_space_group_name_Hall '-P 2yb'
loop_
_atom_site_label
_atom_site_type_symbol
_atom_site_fract_x
_atom_site_fract_y
_atom_site_fract_z
_atom_site_occupancy
Pa1 Pa 0.0053 0.2500 0.0090 1
Si1 Si 0.3003 0.7500 0.6050 1
Si2 Si 0.4199 0.0042 0.8062 1
Pd1 Pd 0.2939 0.2500 0.5906 1
```

The 8 most intense peaks (2θ = 15–90°), sorted by position:
- 4.022 Å, 22.10 deg, rel. 100.0, hkl 0 2 0
- 2.856 Å, 31.32 deg, rel. 52.2, hkl 1 0 1
- 2.830 Å, 31.61 deg, rel. 55.1, hkl 1 0 -2
- 2.792 Å, 32.06 deg, rel. 92.7, hkl 1 2 0
- 2.382 Å, 37.77 deg, rel. 56.6, hkl 0 2 2
- 2.329 Å, 38.67 deg, rel. 53.4, hkl 1 2 1
- 2.314 Å, 38.91 deg, rel. 49.4, hkl 1 2 -2
- 2.053 Å, 44.11 deg, rel. 34.9, hkl 2 0 -1

***

[4]
The following is a simulated X-ray powder pattern of LiFe2NiC. It was derived from a structure optimized by DFT (PBE), using copper Kα.
Kinematic intensities with the Lorentz-polarization factor, no thermal factor.

Structural model:
```
data_LiFe2NiC
_cell_length_a 3.7451
_cell_length_b 3.7451
_cell_length_c 3.8036
_cell_angle_alpha 90.00
_cell_angle_beta 90.00
_cell_angle_gamma 90.00
_space_group_name_H-M_alt 'P 4/m m m'
_space_group_IT_number 123
_space_group_name_Hall '-P 4 2'
loop_
_atom_site_label
_atom_site_type_symbol
_atom_site_fract_x
_atom_site_fract_y
_atom_site_fract_z
_atom_site_occupancy
Li1 Li 0.0000 0.0000 0.0000 1
Fe1 Fe 0.0000 0.5000 0.5000 1
Ni1 Ni 0.5000 0.5000 0.0000 1
C1 C 0.5000 0.5000 0.5000 1
```

The 8 most intense peaks (2θ = 15–90°), sorted by position:
- 3.804 Å, 23.39 deg, rel. 13.7, hkl 0 0 1
- 3.745 Å, 23.76 deg, rel. 37.2, hkl 1 0 0
- 2.669 Å, 33.58 deg, rel. 14.1, hkl 1 0 1
- 2.173 Å, 41.55 deg, rel. 100.0, hkl 1 1 1
- 1.902 Å, 47.83 deg, rel. 19.8, hkl 0 0 2
- 1.873 Å, 48.62 deg, rel. 37.7, hkl 2 0 0
- 1.334 Å, 70.59 deg, rel. 22.1, hkl 2 0 2
- 1.131 Å, 85.97 deg, rel. 21.0, hkl 3 1 1

***

[5]
The following is a simulated X-ray powder pattern of Ti4HS3. It was derived from a structure optimized by DFT (PBE), using copper Kα.
Kinematic intensities with the Lorentz-polarization factor, no thermal factor.

Structural model:
```
data_Ti4HS3
_cell_length_a 9.3325
_cell_length_b 5.2726
_cell_length_c 4.6710
_cell_angle_alpha 90.00
_cell_angle_beta 90.00
_cell_angle_gamma 90.00
_space_group_name_H-M_alt 'P m n 21'
_space_group_IT_number 31
_space_group_name_Hall 'P 2ac -2'
loop_
_atom_site_label
_atom_site_type_symbol
_atom_site_fract_x
_atom_site_fract_y
_atom_site_fract_z
_atom_site_occupancy
Ti1 Ti 0.0000 0.1687 0.0000 1
Ti2 Ti 0.0000 0.8244 0.5103 1
Ti3 Ti 0.2484 0.8241 0.9994 1
H1 H 0.0000 0.8130 0.9650 1
S1 S 0.0000 0.3076 0.4998 1
S2 S 0.2460 0.7001 0.4998 1
```

The 8 most intense peaks (2θ = 15–90°), sorted by position:
- 2.798 Å, 31.99 deg, rel. 22.0, hkl 2 1 1
- 2.636 Å, 34.01 deg, rel. 31.0, hkl 0 2 0
- 2.334 Å, 38.57 deg, rel. 100.0, hkl 4 0 0
- 2.060 Å, 43.95 deg, rel. 72.9, hkl 2 2 1
- 1.748 Å, 52.35 deg, rel. 31.6, hkl 4 2 0
- 1.651 Å, 55.69 deg, rel. 30.5, hkl 4 0 2
- 1.288 Å, 73.52 deg, rel. 27.6, hkl 6 2 1
- 1.224 Å, 78.06 deg, rel. 18.9, hkl 2 4 1

***

[6]
The following is a simulated X-ray powder pattern of Li2SO4. It was derived from a structure optimized by DFT (PBE), using copper Kα.
Kinematic intensities with the Lorentz-polarization factor, no thermal factor.

Structural model:
```
data_Li2SO4
_cell_length_a 8.5859
_cell_length_b 5.0289
_cell_length_c 8.3705
_cell_angle_alpha 90.00
_cell_angle_beta 107.62
_cell_angle_gamma 90.00
_space_group_name_H-M_alt 'P 1 21/c 1'
_space_group_IT_number 14
_space_group_name_Hall '-P 2ybc'
loop_
_atom_site_label
_atom_site_type_symbol
_atom_site_fract_x
_atom_site_fract_y
_atom_site_fract_z
_atom_site_occupancy
Li1 Li 0.1212 0.0677 0.3047 1
Li2 Li 0.3713 0.0725 0.0657 1
S1 S 0.2487 0.5612 0.1915 1
O1 O 0.1023 0.0533 0.7278 1
O2 O 0.2268 0.6469 0.6637 1
O3 O 0.2705 0.0672 0.5393 1
O4 O 0.3939 0.5032 0.3378 1
```

The 8 most intense peaks (2θ = 15–90°), sorted by position:
- 4.094 Å, 21.71 deg, rel. 84.6, hkl 2 0 0
- 4.052 Å, 21.94 deg, rel. 100.0, hkl 1 1 -1
- 3.989 Å, 22.29 deg, rel. 36.6, hkl 0 0 2
- 3.547 Å, 25.10 deg, rel. 23.1, hkl 1 1 1
- 3.221 Å, 27.69 deg, rel. 49.0, hkl 1 0 2
- 2.514 Å, 35.71 deg, rel. 23.6, hkl 0 2 0
- 2.439 Å, 36.85 deg, rel. 10.9, hkl 1 1 -3
- 1.988 Å, 45.62 deg, rel. 11.1, hkl 3 0 2